1.
Dy2Y2Cu3: computed powder X-ray diffraction pattern (CuKα), based on a cell relaxed with GGA-PBE.

Most intense lines, 2θ = 10–90°, in order of rising 2θ:
2θ (°)  Rel. int.
29.00  149
32.51  1000
38.68  618
51.40  161
53.66  326
66.14  196
70.01  132
81.16  138

Cell and atoms:
Cell: 8.709 8.709 8.709 Å, 90.00 90.00 90.00°
Space group I2_13 (No. 199)
One atom of each set of equivalent atoms:
Dy 0.065 0.435 0.565 [8 per cell]
Y 0.184 0.184 0.184 [8 per cell]
Cu 0.000 0.250 0.874 [12 per cell]

***

2.
Dy3Zn2Cu7: computed powder X-ray diffraction pattern (CuKα), based on a cell relaxed with GGA-PBE.

Most intense lines, 2θ = 10–90°, in order of rising 2θ:
2θ (°)  Rel. int.
32.02  428
34.30  507
35.01  300
39.99  366
40.81  1000
43.94  146
65.86  232
72.29  216

Cell and atoms:
Cell: 5.2282 5.2282 24.8761 Å, 90.00 90.00 120.00°
Space group R-3m (No. 166, hexagonal axes)
One atom of each set of equivalent atoms:
Dy 0.0000 0.0000 0.0000 [3 per cell]
Dy 0.0000 0.0000 0.1417 [6 per cell]
Zn 0.0000 0.0000 0.3325 [6 per cell]
Cu 0.0000 0.0000 0.5000 [3 per cell]
Cu 0.0001 0.5001 0.0830 [18 per cell]

***

Which formula does entry 2 have?
Dy3Zn2Cu7